No. 1
This entry pairs a crystal structure of CoNi6 with its calculated powder X-ray diffraction pattern. Radiation: a wavelength of 1.5418 Å. Structure: a PBE-relaxed structure.

Peak list (3 most intense, 10 to 90 degrees two-theta, by angle)
hkl, 2θ (°), I (rel.)
1 1 0, 45.8, 100
0 2 7, 66.8, 15
3 0 0, 84.7, 29

Cell and atoms:
```
data_CoNi6
_chemical_formula_sum 'Co3 Ni18'
_symmetry_space_group_name_H-M 'R -3 m'
_symmetry_Int_Tables_number 166
_symmetry_space_group_name_Hall '-R 3 2"'
_cell_length_a 3.9636
_cell_length_b 3.9636
_cell_length_c 16.9835
_cell_angle_alpha 90.00
_cell_angle_beta 90.00
_cell_angle_gamma 120.00
loop_
_atom_site_label
_atom_site_type_symbol
_atom_site_fract_x
_atom_site_fract_y
_atom_site_fract_z
Co1 Co 0.0000 0.0000 0.0000
Ni1 Ni 0.0000 0.0000 0.1425
Ni2 Ni 0.0000 0.0000 0.2859
Ni3 Ni 0.0000 0.0000 0.4288
```

No. 2
This entry pairs a crystal structure of Co3Ni with its calculated powder X-ray diffraction pattern. Radiation: a wavelength of 1.5418 Å. Structure: a PBE-relaxed structure.

Peak list (10 most intense, 10 to 90 degrees two-theta, by angle)
hkl, 2θ (°), I (rel.)
1 1 -1, 41.8, 50
4 0 0, 44.9, 54
0 0 2, 47.7, 100
4 0 -2, 47.8, 99
3 1 1, 63.0, 9
5 1 -1, 63.1, 13
3 1 -3, 76.3, 20
0 2 0, 76.4, 10
5 1 1, 84.8, 11
8 0 -2, 85.0, 16

Cell and atoms:
```
data_Co3Ni
_chemical_formula_sum 'Co6 Ni2'
_symmetry_space_group_name_H-M 'C 1 m 1'
_symmetry_Int_Tables_number 8
_symmetry_space_group_name_Hall 'C -2y'
_cell_length_a 9.146
_cell_length_b 2.494
_cell_length_c 4.327
_cell_angle_alpha 90.00
_cell_angle_beta 118.04
_cell_angle_gamma 90.00
loop_
_atom_site_label
_atom_site_type_symbol
_atom_site_fract_x
_atom_site_fract_y
_atom_site_fract_z
Co1 Co 0.000 0.000 0.000
Co2 Co 0.001 0.500 0.501
Co3 Co 0.251 0.000 0.918
Ni1 Ni 0.251 0.500 0.417
```

No. 3
This entry pairs a crystal structure of Co7Ni5 with its calculated powder X-ray diffraction pattern. Radiation: a wavelength of 1.5418 Å. Structure: a PBE-relaxed structure.

Peak list (7 most intense, 10 to 90 degrees two-theta, by angle)
hkl, 2θ (°), I (rel.)
0 3 2, 44.6, 100
1 0 2, 44.7, 99
0 0 4, 51.7, 31
1 3 0, 52.2, 61
1 3 4, 76.5, 35
0 6 0, 76.8, 9
2 0 0, 77.1, 9

Cell and atoms:
```
data_Co7Ni5
_chemical_formula_sum 'Co7 Ni5'
_symmetry_space_group_name_H-M 'P m m 2'
_symmetry_Int_Tables_number 25
_symmetry_space_group_name_Hall 'P 2 -2'
_cell_length_a 2.474
_cell_length_b 7.446
_cell_length_c 7.075
_cell_angle_alpha 90.00
_cell_angle_beta 90.00
_cell_angle_gamma 90.00
loop_
_atom_site_label
_atom_site_type_symbol
_atom_site_fract_x
_atom_site_fract_y
_atom_site_fract_z
Co1 Co 0.000 0.000 0.000
Co2 Co 0.000 0.000 0.496
Co3 Co 0.000 0.334 0.000
Co4 Co 0.500 0.165 0.249
Co5 Co 0.500 0.500 0.751
Ni1 Ni 0.000 0.333 0.499
Ni2 Ni 0.500 0.167 0.750
Ni3 Ni 0.500 0.500 0.248
```

No. 4
This entry pairs a crystal structure of Co3Ni4 with its calculated powder X-ray diffraction pattern. Radiation: a wavelength of 1.5418 Å. Structure: a PBE-relaxed structure.

Peak list (5 most intense, 10 to 90 degrees two-theta, by angle)
hkl, 2θ (°), I (rel.)
1 0 7, 44.7, 100
0 0 14, 51.6, 16
1 1 0, 52.4, 30
1 1 14, 76.6, 18
2 0 0, 77.3, 9

Cell and atoms:
```
data_Co3Ni4
_chemical_formula_sum 'Co6 Ni8'
_symmetry_space_group_name_H-M 'I 4/m m m'
_symmetry_Int_Tables_number 139
_symmetry_space_group_name_Hall '-I 4 2'
_cell_length_a 2.470
_cell_length_b 2.470
_cell_length_c 24.811
_cell_angle_alpha 90.00
_cell_angle_beta 90.00
_cell_angle_gamma 90.00
loop_
_atom_site_label
_atom_site_type_symbol
_atom_site_fract_x
_atom_site_fract_y
_atom_site_fract_z
Co1 Co 0.000 0.000 0.000
Co2 Co 0.000 0.000 0.285
Ni1 Ni 0.000 0.000 0.144
Ni2 Ni 0.000 0.000 0.429
```

No. 5
This entry pairs a crystal structure of Co3Ni5 with its calculated powder X-ray diffraction pattern. Radiation: a wavelength of 1.5418 Å. Structure: a PBE-relaxed structure.

Peak list (7 most intense, 10 to 90 degrees two-theta, by angle)
hkl, 2θ (°), I (rel.)
0 1 2, 44.6, 100
2 0 1, 51.7, 16
0 2 0, 52.0, 15
2 0 -3, 52.3, 15
2 2 1, 76.4, 9
4 0 -2, 76.6, 9
2 2 -3, 76.8, 9

Cell and atoms:
```
data_Co3Ni5
_chemical_formula_sum 'Co3 Ni5'
_symmetry_space_group_name_H-M 'P 1 2/m 1'
_symmetry_Int_Tables_number 10
_symmetry_space_group_name_Hall '-P 2y'
_cell_length_a 4.975
_cell_length_b 3.518
_cell_length_c 5.541
_cell_angle_alpha 90.00
_cell_angle_beta 116.05
_cell_angle_gamma 90.00
loop_
_atom_site_label
_atom_site_type_symbol
_atom_site_fract_x
_atom_site_fract_y
_atom_site_fract_z
Co1 Co 0.000 0.000 0.000
Co2 Co 0.121 0.500 0.747
Ni1 Ni 0.247 0.000 0.497
Ni2 Ni 0.373 0.500 0.246
Ni3 Ni 0.500 0.000 0.000
```

No. 6
This entry pairs a crystal structure of Co3Ni7 with its calculated powder X-ray diffraction pattern. Radiation: a wavelength of 1.5418 Å. Structure: a PBE-relaxed structure.

Peak list (7 most intense, 10 to 90 degrees two-theta, by angle)
hkl, 2θ (°), I (rel.)
5 1 0, 44.6, 100
4 0 2, 51.5, 16
0 2 0, 52.1, 15
6 0 -2, 52.2, 15
4 2 2, 76.3, 13
2 0 -4, 76.6, 4
6 2 -2, 76.9, 9

Cell and atoms:
```
data_Co3Ni7
_chemical_formula_sum 'Co6 Ni14'
_symmetry_space_group_name_H-M 'C 1 2/m 1'
_symmetry_Int_Tables_number 12
_symmetry_space_group_name_Hall '-C 2y'
_cell_length_a 12.696
_cell_length_b 3.509
_cell_length_c 4.977
_cell_angle_alpha 90.00
_cell_angle_beta 100.55
_cell_angle_gamma 90.00
loop_
_atom_site_label
_atom_site_type_symbol
_atom_site_fract_x
_atom_site_fract_y
_atom_site_fract_z
Co1 Co 0.000 0.000 0.000
Co2 Co 0.203 0.000 0.598
Ni1 Ni 0.000 0.000 0.500
Ni2 Ni 0.099 0.500 0.798
Ni3 Ni 0.100 0.500 0.299
Ni4 Ni 0.200 0.000 0.099
```

No. 7
This entry pairs a crystal structure of CoNi2 with its calculated powder X-ray diffraction pattern. Radiation: a wavelength of 1.5418 Å. Structure: a PBE-relaxed structure.

Peak list (7 most intense, 10 to 90 degrees two-theta, by angle)
hkl, 2θ (°), I (rel.)
2 0 0, 44.6, 100
1 3 -1, 44.7, 100
1 3 1, 51.9, 62
2 0 -2, 52.2, 30
2 0 2, 76.4, 9
0 6 0, 76.5, 9
3 3 -1, 76.7, 35

Cell and atoms:
```
data_CoNi2
_chemical_formula_sum 'Co4 Ni8'
_symmetry_space_group_name_H-M 'C 1 2/c 1'
_symmetry_Int_Tables_number 15
_symmetry_space_group_name_Hall '-C 2yc'
_cell_length_a 4.299
_cell_length_b 7.468
_cell_length_c 4.301
_cell_angle_alpha 90.00
_cell_angle_beta 109.10
_cell_angle_gamma 90.00
loop_
_atom_site_label
_atom_site_type_symbol
_atom_site_fract_x
_atom_site_fract_y
_atom_site_fract_z
Co1 Co 0.000 0.082 0.250
Ni1 Ni 0.000 0.250 0.750
Ni2 Ni 0.000 0.417 0.250
```

No. 8
This entry pairs a crystal structure of Co3Ni2 with its calculated powder X-ray diffraction pattern. Radiation: a wavelength of 1.5418 Å. Structure: a PBE-relaxed structure.

Peak list (10 most intense, 10 to 90 degrees two-theta, by angle)
hkl, 2θ (°), I (rel.)
4 0 0, 42.9, 33
1 5 1, 44.3, 100
3 3 1, 44.5, 18
4 2 0, 45.6, 18
2 0 2, 47.0, 72
3 5 1, 54.4, 39
5 5 1, 71.7, 9
1 5 3, 77.6, 15
2 10 0, 83.5, 21
3 5 3, 85.4, 9

Cell and atoms:
```
data_Co3Ni2
_chemical_formula_sum 'Co24 Ni16'
_symmetry_space_group_name_H-M 'F d d 2'
_symmetry_Int_Tables_number 43
_symmetry_space_group_name_Hall 'F 2 -2d'
_cell_length_a 8.433
_cell_length_b 12.042
_cell_length_c 4.354
_cell_angle_alpha 90.00
_cell_angle_beta 90.00
_cell_angle_gamma 90.00
loop_
_atom_site_label
_atom_site_type_symbol
_atom_site_fract_x
_atom_site_fract_y
_atom_site_fract_z
Co1 Co 0.000 0.000 0.000
Co2 Co 0.037 0.099 0.476
Ni1 Ni 0.025 0.201 0.954
```

No. 9
This entry pairs a crystal structure of NpCoNi with its calculated powder X-ray diffraction pattern. Radiation: a wavelength of 1.5418 Å. Structure: a PBE-relaxed structure.

Peak list (10 most intense, 10 to 90 degrees two-theta, by angle)
hkl, 2θ (°), I (rel.)
0 1 1, 21.9, 49
0 0 2, 24.1, 51
1 1 1, 28.1, 41
2 0 0, 35.2, 25
1 2 0, 41.2, 100
2 1 1, 41.9, 52
2 0 2, 43.2, 47
1 1 3, 45.0, 30
1 2 2, 48.3, 44
1 3 1, 61.4, 16

Cell and atoms:
```
data_NpCoNi
_chemical_formula_sum 'Np4 Co4 Ni4'
_symmetry_space_group_name_H-M 'A m a 2'
_symmetry_Int_Tables_number 40
_symmetry_space_group_name_Hall 'A 2 -2a'
_cell_length_a 5.093
_cell_length_b 4.858
_cell_length_c 7.377
_cell_angle_alpha 90.00
_cell_angle_beta 90.00
_cell_angle_gamma 90.00
loop_
_atom_site_label
_atom_site_type_symbol
_atom_site_fract_x
_atom_site_fract_y
_atom_site_fract_z
Np1 Np 0.250 0.102 0.000
Co1 Co 0.250 0.139 0.379
Ni1 Ni 0.000 0.000 0.665
```

No. 10
This entry pairs a crystal structure of Np2Co15Ni2 with its calculated powder X-ray diffraction pattern. Radiation: a wavelength of 1.5418 Å. Structure: a PBE-relaxed structure.

Peak list (10 most intense, 10 to 90 degrees two-theta, by angle)
hkl, 2θ (°), I (rel.)
1 1 0, 21.6, 20
1 1 3, 31.1, 59
3 0 0, 37.8, 49
0 2 4, 39.1, 33
2 2 0, 44.0, 63
0 3 3, 44.2, 100
0 0 6, 45.1, 50
4 1 3, 64.1, 32
2 2 6, 64.8, 28
3 3 3, 72.8, 20

Cell and atoms:
```
data_Np2Co15Ni2
_chemical_formula_sum 'Np6 Co45 Ni6'
_symmetry_space_group_name_H-M 'R -3 m'
_symmetry_Int_Tables_number 166
_symmetry_space_group_name_Hall '-R 3 2"'
_cell_length_a 8.2406
_cell_length_b 8.2406
_cell_length_c 12.0643
_cell_angle_alpha 90.00
_cell_angle_beta 90.00
_cell_angle_gamma 120.00
loop_
_atom_site_label
_atom_site_type_symbol
_atom_site_fract_x
_atom_site_fract_y
_atom_site_fract_z
Np1 Np 0.0000 0.0000 0.1592
Co1 Co 0.0000 0.2918 0.5000
Co2 Co 0.0000 0.5000 0.0000
Co3 Co 0.0007 0.5003 0.6509
Ni1 Ni 0.0000 0.0000 0.3995
```